(1)
# CaGa2O4
Simulated powder X-ray diffraction pattern, Cu Kα (weighted mean of Kα1 and Kα2). Input: a structure optimized by DFT (PBE).

Peak list (10 most intense, 2θ = 5–70°, sorted by position)
19.5°, intensity 31; 22.7°, intensity 61; 29.9°, intensity 56; 30.1°, intensity 100; 33.8°, intensity 93; 34.3°, intensity 38; 35.7°, intensity 39; 45.6°, intensity 21; 46.4°, intensity 22; 52.9°, intensity 27

Structural model:
abc: 10.457 7.837 9.241
angles: 90.00 90.00 90.00
Sites, in units of the cell vectors:
Ca 0.113 0.003 0.000
Ca 0.179 0.496 0.048
Ca 0.321 0.996 0.548
Ca 0.387 0.503 0.500
Ca 0.613 0.497 0.000
Ca 0.679 0.004 0.048
Ca 0.821 0.504 0.548
Ca 0.887 0.997 0.500
Ga 0.094 0.687 0.672
Ga 0.117 0.286 0.673
Ga 0.129 0.694 0.345
Ga 0.152 0.243 0.345
Ga 0.348 0.743 0.845
Ga 0.371 0.194 0.845
Ga 0.383 0.786 0.173
Ga 0.406 0.187 0.172
Ga 0.594 0.813 0.672
Ga 0.617 0.214 0.673
Ga 0.629 0.806 0.345
Ga 0.652 0.257 0.345
Ga 0.848 0.757 0.845
Ga 0.871 0.306 0.845
Ga 0.883 0.714 0.173
Ga 0.906 0.313 0.172
O 0.031 0.479 0.610
O 0.043 0.239 0.852
O 0.049 0.173 0.194
O 0.091 0.137 0.515
O 0.179 0.662 0.846
O 0.198 0.473 0.320
O 0.203 0.795 0.178
O 0.205 0.750 0.523
O 0.295 0.250 0.023
O 0.297 0.295 0.678
O 0.302 0.973 0.820
O 0.321 0.162 0.346
O 0.409 0.637 0.015
O 0.451 0.673 0.694
O 0.457 0.739 0.352
O 0.469 0.979 0.110
O 0.531 0.021 0.610
O 0.543 0.261 0.852
O 0.549 0.327 0.194
O 0.591 0.363 0.515
O 0.679 0.838 0.846
O 0.698 0.027 0.320
O 0.703 0.705 0.178
O 0.705 0.750 0.523
O 0.795 0.250 0.023
O 0.797 0.205 0.678
O 0.802 0.527 0.820
O 0.821 0.338 0.346
O 0.909 0.863 0.015
O 0.951 0.827 0.694
O 0.957 0.761 0.352
O 0.969 0.521 0.110


(2)
# LiZnAsO4
Simulated powder X-ray diffraction pattern, Cu Kα (weighted mean of Kα1 and Kα2). Input: a structure optimized by DFT (PBE).

Peak list (10 most intense, 2θ = 5–70°, sorted by position)
12.4°, intensity 22; 19.9°, intensity 33; 21.1°, intensity 100; 21.5°, intensity 25; 24.9°, intensity 74; 30.7°, intensity 86; 33.1°, intensity 92; 37.8°, intensity 47; 47.6°, intensity 47; 63.7°, intensity 49

Structural model:
abc: 8.865 8.865 8.865
angles: 107.85 107.85 107.85
Sites, in units of the cell vectors:
Li 0.021 0.787 0.192
Li 0.192 0.021 0.787
Li 0.306 0.482 0.707
Li 0.482 0.707 0.306
Li 0.707 0.306 0.482
Li 0.787 0.192 0.021
Zn 0.146 0.380 0.975
Zn 0.380 0.975 0.146
Zn 0.458 0.860 0.684
Zn 0.684 0.458 0.860
Zn 0.860 0.684 0.458
Zn 0.975 0.146 0.380
As 0.044 0.635 0.818
As 0.121 0.529 0.349
As 0.349 0.121 0.529
As 0.529 0.349 0.121
As 0.635 0.818 0.044
As 0.818 0.044 0.635
O 0.006 0.653 0.332
O 0.160 0.512 0.831
O 0.187 0.855 0.900
O 0.222 0.232 0.547
O 0.232 0.547 0.222
O 0.269 0.976 0.310
O 0.275 0.611 0.564
O 0.310 0.269 0.976
O 0.332 0.006 0.653
O 0.512 0.831 0.160
O 0.547 0.222 0.232
O 0.554 0.605 0.889
O 0.564 0.275 0.611
O 0.605 0.889 0.554
O 0.611 0.564 0.275
O 0.616 0.948 0.935
O 0.653 0.332 0.006
O 0.831 0.160 0.512
O 0.855 0.900 0.187
O 0.889 0.554 0.605
O 0.900 0.187 0.855
O 0.935 0.616 0.948
O 0.948 0.935 0.616
O 0.976 0.310 0.269


(3)
# ReBi3O8
Simulated powder X-ray diffraction pattern, Cu Kα (weighted mean of Kα1 and Kα2). Input: a structure optimized by DFT (PBE).

Peak list (10 most intense, 2θ = 5–70°, sorted by position)
26.2°, intensity 100; 30.4°, intensity 41; 42.1°, intensity 6; 43.5°, intensity 37; 51.5°, intensity 37; 54.0°, intensity 9; 57.6°, intensity 6; 62.1°, intensity 7; 68.6°, intensity 6; 69.7°, intensity 11

Structural model:
abc: 10.189 10.189 10.189
angles: 109.47 109.47 109.47
Sites, in units of the cell vectors:
Re 0.000 0.240 0.500
Re 0.240 0.500 0.000
Re 0.260 0.260 0.260
Re 0.500 0.000 0.240
Bi 0.233 0.750 0.714
Bi 0.267 0.982 0.517
Bi 0.517 0.267 0.982
Bi 0.518 0.786 0.536
Bi 0.536 0.518 0.786
Bi 0.714 0.233 0.750
Bi 0.750 0.714 0.233
Bi 0.750 0.983 0.964
Bi 0.786 0.536 0.518
Bi 0.964 0.750 0.983
Bi 0.982 0.517 0.267
Bi 0.983 0.964 0.750
O 0.000 0.066 0.500
O 0.000 0.566 0.500
O 0.025 0.750 0.775
O 0.066 0.500 0.000
O 0.113 0.308 0.182
O 0.182 0.113 0.308
O 0.192 0.305 0.874
O 0.195 0.387 0.569
O 0.250 0.725 0.475
O 0.250 0.970 0.720
O 0.305 0.874 0.192
O 0.308 0.182 0.113
O 0.318 0.626 0.931
O 0.387 0.569 0.195
O 0.434 0.434 0.434
O 0.475 0.250 0.725
O 0.500 0.000 0.066
O 0.500 0.000 0.566
O 0.530 0.780 0.750
O 0.566 0.500 0.000
O 0.569 0.195 0.387
O 0.626 0.931 0.318
O 0.720 0.250 0.970
O 0.725 0.475 0.250
O 0.750 0.530 0.780
O 0.750 0.775 0.025
O 0.775 0.025 0.750
O 0.780 0.750 0.530
O 0.874 0.192 0.305
O 0.931 0.318 0.626
O 0.934 0.934 0.934
O 0.970 0.720 0.250